The following is a computed X-ray powder pattern of Li4Zn5Ni2. It was derived from a GGA-PBE-relaxed structure, using λ = 1.5418 Å (Cu Kα).
No peak broadening, texture or thermal motion is included.

Structure:
a b c (Å): 5.054 5.054 6.662
angles (deg): 91.79 91.79 63.49
Atoms (fractional coordinates):
Li  0.124  0.124  0.139
Li  0.180  0.180  0.500
Li  0.820  0.820  0.500
Li  0.876  0.876  0.861
Zn  0.131  0.618  0.176
Zn  0.382  0.869  0.824
Zn  0.500  0.500  0.500
Zn  0.618  0.131  0.176
Zn  0.869  0.382  0.824
Ni  0.373  0.373  0.839
Ni  0.627  0.627  0.161

The 12 most intense peaks (2θ = 10–90°), by intensity:
| two_theta | I_rel |
| --- | --- |
| 42.47 | 100 |
| 19.63 | 98 |
| 40.66 | 74 |
| 13.30 | 70 |
| 48.22 | 62 |
| 41.95 | 51 |
| 24.24 | 48 |
| 42.08 | 34 |
| 70.93 | 34 |
| 49.15 | 28 |
| 38.59 | 26 |
| 26.78 | 20 |